Diffraction record for Li2V5O10. The powder XRD pattern is calculated, not measured: it uses a structure optimized by DFT (PBE+U) and copper Kα.
Intensities are scaled so that the largest is 100.

Main lines, in order of rising 2θ (15 to 90 degrees two-theta):
| hkl | Position (°2θ) | I_rel |
| --- | --- | --- |
| 1 0 0 | 17.9 | 100 |
| -1 1 1 | 22.5 | 17 |
| 0 1 3 | 27.0 | 17 |
| 1 0 -4 | 27.5 | 18 |
| 1 1 1 | 30.3 | 13 |
| 0 2 0 | 36.0 | 14 |
| 1 -1 5 | 37.8 | 40 |
| 1 2 0 | 44.7 | 28 |
| -2 1 5 | 45.2 | 27 |
| 0 3 -5 | 59.8 | 10 |

Structure:
Cell: 5.161 5.190 15.197 Å, 95.86 97.84 103.87°
Fractional positions:
Li: 0.044 0.263 0.051
Li: 0.052 0.754 0.554
Li: 0.948 0.246 0.446
Li: 0.956 0.737 0.949
V: 0.002 0.756 0.751
V: 0.453 0.992 0.303
V: 0.458 0.499 0.801
V: 0.485 0.456 0.592
V: 0.491 0.962 0.093
V: 0.509 0.038 0.907
V: 0.515 0.544 0.408
V: 0.542 0.501 0.199
V: 0.547 0.008 0.697
V: 0.998 0.244 0.249
O: 0.222 0.680 0.859
O: 0.231 0.157 0.360
O: 0.278 0.552 0.495
O: 0.280 0.059 0.999
O: 0.286 0.601 0.285
O: 0.287 0.114 0.187
O: 0.287 0.636 0.680
O: 0.289 0.099 0.773
O: 0.337 0.108 0.593
O: 0.343 0.613 0.095
O: 0.657 0.387 0.905
O: 0.663 0.892 0.407
O: 0.711 0.901 0.227
O: 0.713 0.364 0.320
O: 0.713 0.886 0.813
O: 0.714 0.399 0.715
O: 0.720 0.941 0.001
O: 0.722 0.448 0.505
O: 0.769 0.843 0.640
O: 0.778 0.320 0.141